1.
Diffraction record for Zn3C5. The powder diffractogram is theoretical, not measured: it uses a structure optimized by DFT (PBE) and a wavelength of 1.5418 Å.
Intensities are scaled so that the largest is 100.

Top 6 peaks for 2θ = 5–70°, sorted by position:
d [Å], I (rel.)
3.453, 91
3.352, 65
2.929, 73
2.887, 100
2.553, 95
2.300, 62

Structure:
```
Zn3C5
1.0
3.464 -4.989 0.000
3.464 4.989 0.000
-2.996 0.000 5.943
Zn C
6 10
direct
0.000 0.000 0.000
0.199 0.485 0.778
0.206 0.665 0.291
0.485 0.199 0.778
0.626 0.626 0.456
0.665 0.206 0.291
0.089 0.932 0.326
0.134 0.134 0.549
0.299 0.437 0.084
0.407 0.746 0.659
0.437 0.299 0.084
0.630 0.916 0.795
0.746 0.407 0.659
0.895 0.895 0.436
0.916 0.630 0.795
0.932 0.089 0.326
```

---

2.
Diffraction record for ZnC. The powder diffractogram is theoretical, not measured: it uses a structure optimized by DFT (PBE) and a wavelength of 1.5418 Å.
Intensities are scaled so that the largest is 100.

Top 6 peaks for 2θ = 5–70°, sorted by position:
d [Å], I (rel.)
12.029, 100
6.014, 9
4.010, 13
3.007, 8
2.107, 16
1.953, 9

Structure:
```
ZnC
1.0
2.502 0.000 0.000
-1.251 2.167 0.000
0.000 0.000 36.087
Zn C
6 6
direct
0.000 0.000 0.129
0.000 0.000 0.871
0.333 0.667 0.537
0.333 0.667 0.796
0.667 0.333 0.204
0.667 0.333 0.463
0.000 0.000 0.333
0.000 0.000 0.667
0.333 0.667 0.000
0.333 0.667 0.333
0.667 0.333 0.000
0.667 0.333 0.667
```

---

3.
Diffraction record for ZnC2. The powder diffractogram is theoretical, not measured: it uses a structure optimized by DFT (PBE) and a wavelength of 1.5418 Å.
Intensities are scaled so that the largest is 100.

Top 6 peaks for 2θ = 5–70°, sorted by position:
d [Å], I (rel.)
8.355, 98
4.178, 100
2.136, 40
2.088, 20
2.009, 33
1.810, 24

Structure:
```
ZnC2
1.0
2.487 0.000 0.000
-1.243 2.153 0.000
0.000 0.000 16.711
Zn C
2 4
direct
0.333 0.667 0.250
0.667 0.333 0.750
0.333 0.667 0.000
0.333 0.667 0.500
0.667 0.333 0.000
0.667 0.333 0.500
```

---

4.
Diffraction record for Zn4C3. The powder diffractogram is theoretical, not measured: it uses a structure optimized by DFT (PBE) and a wavelength of 1.5418 Å.
Intensities are scaled so that the largest is 100.

Top 6 peaks for 2θ = 5–70°, sorted by position:
d [Å], I (rel.)
4.862, 37
2.807, 100
2.431, 34
1.985, 33
1.719, 28
1.466, 20

Structure:
```
Zn4C3
1.0
4.862 0.000 0.000
0.000 4.862 0.000
0.000 0.000 4.862
Zn C
4 3
direct
0.206 0.206 0.206
0.206 0.794 0.794
0.794 0.206 0.794
0.794 0.794 0.206
0.000 0.000 0.500
0.000 0.500 0.000
0.500 0.000 0.000
```

---

5.
Diffraction record for Zn3C5. The powder diffractogram is theoretical, not measured: it uses a structure optimized by DFT (PBE) and a wavelength of 1.5418 Å.
Intensities are scaled so that the largest is 100.

Top 6 peaks for 2θ = 5–70°, sorted by position:
d [Å], I (rel.)
5.823, 73
2.911, 28
2.888, 100
2.820, 53
2.050, 78
2.026, 27

Structure:
```
Zn3C5
1.0
6.724 0.000 0.000
-3.362 5.823 0.000
0.000 0.000 5.641
Zn C
6 10
direct
0.012 0.775 0.000
0.056 0.282 0.500
0.225 0.237 0.000
0.226 0.944 0.500
0.718 0.774 0.500
0.763 0.988 0.000
0.000 0.000 0.258
0.000 0.000 0.742
0.333 0.667 0.386
0.333 0.667 0.614
0.539 0.224 0.500
0.546 0.329 0.000
0.671 0.216 0.000
0.684 0.461 0.500
0.776 0.316 0.500
0.784 0.454 0.000
```

---

6.
Diffraction record for Zn7C6. The powder diffractogram is theoretical, not measured: it uses a structure optimized by DFT (PBE) and a wavelength of 1.5418 Å.
Intensities are scaled so that the largest is 100.

Top 6 peaks for 2θ = 5–70°, sorted by position:
d [Å], I (rel.)
5.117, 100
2.643, 64
2.558, 62
2.130, 59
2.008, 35
1.834, 55

Structure:
```
Zn7C6
1.0
3.087 1.782 5.883
-3.087 1.782 5.883
0.000 -3.564 5.883
Zn C
7 6
direct
0.000 0.000 0.000
0.089 0.089 0.535
0.089 0.535 0.089
0.465 0.911 0.911
0.535 0.089 0.089
0.911 0.465 0.911
0.911 0.911 0.465
0.115 0.115 0.115
0.308 0.308 0.308
0.382 0.382 0.382
0.618 0.618 0.618
0.692 0.692 0.692
0.885 0.885 0.885
```